Diffraction record for MnZnGeO4. The powder XRD pattern is calculated, not measured: it uses the PBE+U geometry in the Materials Project and Cu Ka.
Kinematic intensities with the Lorentz-polarization factor, no thermal factor.

Crystal structure
Unit cell a=10.8735 b=6.2794 c=5.0264 alpha=90.00 beta=90.00 gamma=90.00
Space group Pnma (No. 62)
One atom of each set of equivalent atoms:
Mn (0.2218, 0.2500, 0.0092) (multiplicity 4)
Zn (0.0000, 0.0000, 0.5000) (multiplicity 4)
Ge (0.0936, 0.7500, 0.0672) (multiplicity 4)
O (0.0549, 0.2500, 0.7678) (multiplicity 4)
O (0.0902, 0.7500, 0.7156) (multiplicity 4)
O (0.1626, 0.5268, 0.2295) (multiplicity 8)

Most intense lines, 2θ from 10° to 80°, low angle first:
- 21.62 deg, I 33, (2 1 0)
- 30.40 deg, I 53, (3 0 1)
- 33.66 deg, I 73, (3 1 1)
- 34.68 deg, I 100, (1 2 1)
- 49.38 deg, I 44, (2 2 2)
- 58.83 deg, I 43, (0 4 0)

***

Diffraction record for MnZnGe2O6. The powder XRD pattern is calculated, not measured: it uses the PBE+U geometry in the Materials Project and Cu Ka.
Kinematic intensities with the Lorentz-polarization factor, no thermal factor.

Crystal structure
Unit cell a=5.5562 b=7.0133 c=13.7744 alpha=87.65 beta=81.11 gamma=75.89
Space group P-1 (No. 2)
One atom of each set of equivalent atoms:
Mn (0.0509, 0.3977, 0.1989) (multiplicity 2)
Mn (0.4483, 0.6024, 0.3015) (multiplicity 2)
Zn (0.1177, 0.2653, 0.6326) (multiplicity 2)
Zn (0.3830, 0.7344, 0.8673) (multiplicity 2)
Ge (0.0893, 0.8903, 0.1408) (multiplicity 2)
Ge (0.1749, 0.7188, 0.5550) (multiplicity 2)
Ge (0.3250, 0.2812, 0.9451) (multiplicity 2)
Ge (0.4103, 0.1098, 0.3593) (multiplicity 2)
O (0.0515, 0.1855, 0.9546) (multiplicity 2)
O (0.0756, 0.8723, 0.8203) (multiplicity 2)
O (0.0989, 0.0903, 0.4072) (multiplicity 2)
O (0.1160, 0.7032, 0.2324) (multiplicity 2)
O (0.1676, 0.6407, 0.4364) (multiplicity 2)
O (0.2002, 0.5356, 0.6484) (multiplicity 2)
O (0.3003, 0.4642, 0.8515) (multiplicity 2)
O (0.3319, 0.3594, 0.0636) (multiplicity 2)
O (0.3833, 0.2971, 0.2678) (multiplicity 2)
O (0.4009, 0.9096, 0.0926) (multiplicity 2)
O (0.4250, 0.1277, 0.6796) (multiplicity 2)
O (0.4487, 0.8146, 0.5453) (multiplicity 2)

Most intense lines, 2θ from 10° to 80°, low angle first:
- 25.12 deg, I 65, (1 1 3)
- 26.20 deg, I 57, (0 0 4)
- 27.67 deg, I 83, (1 0 -3)
- 29.39 deg, I 100, (0 2 -2)
- 32.39 deg, I 69, (1 2 3)
- 34.27 deg, I 60, (2 0 2)

***

Diffraction record for MnZnGe2O6. The powder XRD pattern is calculated, not measured: it uses the PBE+U geometry in the Materials Project and Cu Ka.
Kinematic intensities with the Lorentz-polarization factor, no thermal factor.

Crystal structure
Unit cell a=9.8779 b=9.4892 c=5.5261 alpha=90.00 beta=102.31 gamma=90.00
Space group P2_1/c (No. 14)
One atom of each set of equivalent atoms:
Mn (0.2444, 0.1503, 0.4632) (multiplicity 4)
Zn (0.2457, 0.5016, 0.4552) (multiplicity 4)
Ge (0.0575, 0.6649, 0.8102) (multiplicity 4)
Ge (0.4552, 0.6596, 0.2497) (multiplicity 4)
O (0.1061, 0.6848, 0.1445) (multiplicity 4)
O (0.1259, 0.1598, 0.7534) (multiplicity 4)
O (0.1437, 0.5196, 0.7239) (multiplicity 4)
O (0.3626, 0.1614, 0.1813) (multiplicity 4)
O (0.3713, 0.0038, 0.7142) (multiplicity 4)
O (0.3858, 0.7236, 0.5022) (multiplicity 4)

Most intense lines, 2θ from 10° to 80°, low angle first:
- 26.34 deg, I 50, (2 2 0)
- 27.88 deg, I 100, (1 2 1)
- 29.31 deg, I 73, (3 1 0)
- 32.82 deg, I 42, (0 3 1)
- 34.44 deg, I 55, (2 0 -2)
- 53.34 deg, I 56, (4 3 1)

***

Diffraction record for Na3GeMo3O19. The powder XRD pattern is calculated, not measured: it uses the PBE+U geometry in the Materials Project and Cu Ka.
Kinematic intensities with the Lorentz-polarization factor, no thermal factor.

Crystal structure
Unit cell a=8.7339 b=9.4643 c=10.7243 alpha=72.65 beta=76.60 gamma=82.04
Space group P-1 (No. 2)
One atom of each set of equivalent atoms:
Na (0.0164, 0.1306, 0.0803) (multiplicity 2)
Na (0.3254, 0.8448, 0.4656) (multiplicity 2)
Na (0.4006, 0.3194, 0.6804) (multiplicity 2)
Ge (0.3166, 0.4427, 0.0016) (multiplicity 2)
Mo (0.2863, 0.7661, 0.1170) (multiplicity 2)
Mo (0.3399, 0.4261, 0.3346) (multiplicity 2)
Mo (0.4275, 0.8218, 0.7936) (multiplicity 2)
O (0.0264, 0.7074, 0.7154) (multiplicity 2)
O (0.0630, 0.0110, 0.5111) (multiplicity 2)
O (0.1085, 0.8735, 0.0919) (multiplicity 2)
O (0.1261, 0.6790, 0.6229) (multiplicity 2)
O (0.1331, 0.3633, 0.0202) (multiplicity 2)
O (0.1730, 0.3983, 0.8155) (multiplicity 2)
O (0.2040, 0.3071, 0.4441) (multiplicity 2)
O (0.2111, 0.5791, 0.2334) (multiplicity 2)
O (0.2387, 0.9014, 0.7660) (multiplicity 2)
O (0.2856, 0.2100, 0.9220) (multiplicity 2)
O (0.2982, 0.6389, 0.9687) (multiplicity 2)
O (0.3424, 0.8231, 0.2400) (multiplicity 2)
O (0.3767, 0.1226, 0.5847) (multiplicity 2)
O (0.3809, 0.3521, 0.1554) (multiplicity 2)
O (0.3823, 0.5331, 0.4302) (multiplicity 2)
O (0.4268, 0.8672, 0.9580) (multiplicity 2)
O (0.4411, 0.0473, 0.3116) (multiplicity 2)
O (0.4531, 0.3922, 0.8652) (multiplicity 2)
O (0.4577, 0.6961, 0.6699) (multiplicity 2)

Most intense lines, 2θ from 10° to 80°, low angle first:
- 10.44 deg, I 100, (1 0 0)
- 13.54 deg, I 38, (1 1 1)
- 21.49 deg, I 22, (2 1 1)
- 21.64 deg, I 22, (1 2 0)
- 28.54 deg, I 23, (0 2 3)
- 31.00 deg, I 18, (0 1 -3)

***

Diffraction record for Ge2MoO6. The powder XRD pattern is calculated, not measured: it uses the PBE+U geometry in the Materials Project and Cu Ka.
Kinematic intensities with the Lorentz-polarization factor, no thermal factor.

Crystal structure
Unit cell a=10.3957 b=9.2906 c=5.5799 alpha=90.00 beta=105.13 gamma=90.00
Space group P2_1/c (No. 14)
One atom of each set of equivalent atoms:
Ge (0.0295, 0.1584, 0.1483) (multiplicity 4)
Ge (0.4488, 0.1695, 0.2974) (multiplicity 4)
Mo (0.2591, 0.6450, 0.7398) (multiplicity 4)
O (0.0932, 0.5190, 0.7048) (multiplicity 4)
O (0.0947, 0.2375, 0.4464) (multiplicity 4)
O (0.1513, 0.6950, 0.3950) (multiplicity 4)
O (0.3717, 0.6824, 0.1131) (multiplicity 4)
O (0.3890, 0.2037, 0.5599) (multiplicity 4)
O (0.3898, 0.5024, 0.6937) (multiplicity 4)

Most intense lines, 2θ from 10° to 80°, low angle first:
- 12.99 deg, I 25, (1 1 0)
- 19.10 deg, I 100, (1 1 -1)
- 28.36 deg, I 48, (3 1 0)
- 28.39 deg, I 46, (2 2 -1)
- 33.41 deg, I 30, (1 3 -1)
- 33.51 deg, I 41, (2 2 1)

***

Diffraction record for Ge2MoO6. The powder XRD pattern is calculated, not measured: it uses the PBE+U geometry in the Materials Project and Cu Ka.
Kinematic intensities with the Lorentz-polarization factor, no thermal factor.

Crystal structure
Unit cell a=10.1468 b=9.1080 c=5.6731 alpha=90.00 beta=106.99 gamma=90.00
Space group C2/c (No. 15)
One atom of each set of equivalent atoms:
Ge (0.2028, 0.0875, 0.2612) (multiplicity 8)
Mo (0.0000, 0.4036, 0.2500) (multiplicity 4)
O (0.1118, 0.4272, 0.6354) (multiplicity 8)
O (0.1363, 0.2643, 0.1904) (multiplicity 8)
O (0.1396, 0.0252, 0.5015) (multiplicity 8)

Most intense lines, 2θ from 10° to 80°, low angle first:
- 18.94 deg, I 68, (1 1 -1)
- 19.49 deg, I 50, (0 2 0)
- 28.57 deg, I 100, (2 2 -1)
- 29.30 deg, I 89, (3 1 0)
- 33.02 deg, I 53, (0 0 2)
- 34.37 deg, I 62, (2 2 1)